Record 1
# Rb2Ta2Se5
Calculated powder XRD pattern, CuKα. Input: DFT lattice parameters and positions (GGA-PBE).

Structural model:
abc: 7.8623 7.8623 8.5298
angles: 99.43 99.43 37.17
Element x y z (fractional)
Rb (0.0763, 0.0763, 0.3102)
Rb (0.9237, 0.9237, 0.6898)
Ta (0.3548, 0.3548, 0.1008)
Ta (0.6452, 0.6452, 0.8992)
Se (0.1829, 0.1829, 0.9707)
Se (0.3774, 0.3774, 0.3825)
Se (0.5000, 0.5000, 0.0000)
Se (0.6226, 0.6226, 0.6175)
Se (0.8171, 0.8171, 0.0293)

Largest 12 diffraction maxima, by angle, 10° ≤ 2θ ≤ 90°:
| d (Å) | two_theta | I (rel.) |
| --- | --- | --- |
| 8.401 | 10.5 | 100 |
| 6.072 | 14.6 | 49 |
| 4.035 | 22.0 | 67 |
| 3.952 | 22.5 | 29 |
| 3.670 | 24.3 | 29 |
| 3.098 | 28.8 | 25 |
| 2.506 | 35.8 | 41 |
| 2.476 | 36.3 | 34 |
| 2.466 | 36.4 | 27 |
| 2.068 | 43.8 | 21 |
| 2.037 | 44.5 | 21 |
| 1.934 | 47.0 | 25 |


Record 2
# La4Ni3Pb4
Calculated powder XRD pattern, CuKα. Input: DFT lattice parameters and positions (GGA-PBE).

Structural model:
abc: 6.7060 6.7060 6.7060
angles: 95.68 95.68 95.68
Element x y z (fractional)
La (0.0000, 0.0000, 0.0000)
La (0.2973, 0.7905, 0.5599)
La (0.5599, 0.2973, 0.7905)
La (0.7905, 0.5599, 0.2973)
Ni (0.5910, 0.7594, 0.8758)
Ni (0.7594, 0.8758, 0.5910)
Ni (0.8758, 0.5910, 0.7594)
Pb (0.0081, 0.2297, 0.5995)
Pb (0.2297, 0.5995, 0.0081)
Pb (0.3279, 0.3279, 0.3279)
Pb (0.5995, 0.0081, 0.2297)

Largest 12 diffraction maxima, by angle, 10° ≤ 2θ ≤ 90°:
| d (Å) | two_theta | I (rel.) |
| --- | --- | --- |
| 4.971 | 17.8 | 24 |
| 3.467 | 25.7 | 44 |
| 3.106 | 28.7 | 97 |
| 2.870 | 31.2 | 80 |
| 2.844 | 31.5 | 100 |
| 2.759 | 32.5 | 87 |
| 2.327 | 38.7 | 55 |
| 2.211 | 40.8 | 58 |
| 2.170 | 41.6 | 30 |
| 2.021 | 44.9 | 41 |
| 1.658 | 55.4 | 23 |
| 1.637 | 56.2 | 38 |


Record 3
# Tb2Tl2RuO6
Calculated powder XRD pattern, CuKα. Input: DFT lattice parameters and positions (GGA-PBE).

Structural model:
abc: 5.8158 5.8158 6.7707
angles: 97.15 97.15 119.96
Element x y z (fractional)
Tb (0.1650, 0.8350, 0.0000)
Tb (0.8350, 0.1650, 0.0000)
Tl (0.3385, 0.6615, 0.5000)
Tl (0.6615, 0.3385, 0.5000)
Ru (0.5000, 0.5000, 0.0000)
O (0.1486, 0.4559, 0.8377)
O (0.2495, 0.2495, 0.1718)
O (0.4559, 0.1486, 0.8377)
O (0.5441, 0.8514, 0.1623)
O (0.7505, 0.7505, 0.8282)
O (0.8514, 0.5441, 0.1623)

Largest 12 diffraction maxima, by angle, 10° ≤ 2θ ≤ 90°:
| d (Å) | two_theta | I (rel.) |
| --- | --- | --- |
| 4.918 | 18.0 | 18 |
| 4.423 | 20.1 | 33 |
| 3.579 | 24.9 | 20 |
| 3.279 | 27.2 | 70 |
| 2.818 | 31.8 | 43 |
| 2.774 | 32.3 | 80 |
| 2.524 | 35.6 | 100 |
| 2.461 | 36.5 | 51 |
| 1.914 | 47.5 | 18 |
| 1.860 | 49.0 | 34 |
| 1.679 | 54.7 | 41 |
| 1.644 | 55.9 | 23 |